# 1
For CuF2, the PBE geometry in the Materials Project gives the calculated powder X-ray diffraction pattern in this record (Cu Kα X-rays).
Neutral-atom scattering factors, no anomalous dispersion.

Crystal structure
abc: 3.7328 3.7328 11.9339
angles: 90.00 90.00 90.00
Space group I4/mmm (No. 139)
One atom of each set of equivalent atoms:
Cu1 0.0000 0.0000 0.0000
F1 0.0000 0.5000 0.0000

Top 10 peaks for 15 to 90 degrees two-theta, most intense first:
- 24.99 deg, intensity 1000, (1 0 1)
- 32.90 deg, intensity 491, (1 0 3)
- 29.95 deg, intensity 397, (0 0 4)
- 51.29 deg, intensity 305, (2 0 2)
- 55.59 deg, intensity 203, (2 1 1)
- 45.09 deg, intensity 198, (1 0 5)
- 58.32 deg, intensity 195, (2 0 4)
- 48.79 deg, intensity 180, (2 0 0)
- 60.11 deg, intensity 157, (2 1 3)
- 45.61 deg, intensity 113, (0 0 6)

# 2
For TiNbCr4, the PBE geometry in the Materials Project gives the calculated powder X-ray diffraction pattern in this record (Cu Kα X-rays).
Neutral-atom scattering factors, no anomalous dispersion.

Crystal structure
abc: 6.9066 6.9066 6.9066
angles: 90.00 90.00 90.00
Space group F-43m (No. 216)
One atom of each set of equivalent atoms:
Ti1 0.0000 0.0000 0.0000
Nb1 0.2500 0.2500 0.7500
Cr1 0.1251 0.1251 0.3749

Top 10 peaks for 15 to 90 degrees two-theta, most intense first:
- 43.46 deg, intensity 1000, (3 1 1)
- 36.81 deg, intensity 376, (2 2 0)
- 45.49 deg, intensity 311, (2 2 2)
- 70.90 deg, intensity 276, (5 1 1)
- 78.31 deg, intensity 216, (4 4 0)
- 66.30 deg, intensity 123, (4 2 2)
- 25.80 deg, intensity 55, (2 0 0)
- 89.81 deg, intensity 54, (6 2 0)
- 22.29 deg, intensity 54, (1 1 1)
- 59.89 deg, intensity 22, (4 2 0)

# 3
For GdAsO4, the PBE geometry in the Materials Project gives the calculated powder X-ray diffraction pattern in this record (Cu Kα X-rays).
Neutral-atom scattering factors, no anomalous dispersion.

Crystal structure
abc: 5.5866 5.5866 4.7655
angles: 90.00 90.00 90.00
Space group P4/nbm (No. 125, origin choice 2)
One atom of each set of equivalent atoms:
Gd1 0.2500 0.2500 0.0000
As1 0.2500 0.7500 0.5000
O1 0.0816 0.5816 0.2629

Top 10 peaks for 15 to 90 degrees two-theta, most intense first:
- 29.37 deg, intensity 1000, (1 1 1)
- 55.47 deg, intensity 323, (3 1 1)
- 32.04 deg, intensity 282, (2 0 0)
- 50.33 deg, intensity 281, (2 0 2)
- 45.95 deg, intensity 165, (2 2 0)
- 81.48 deg, intensity 114, (3 1 3)
- 60.92 deg, intensity 109, (2 2 2)
- 63.08 deg, intensity 109, (1 1 3)
- 88.34 deg, intensity 83, (4 2 2)
- 76.21 deg, intensity 71, (4 2 0)